# Mg2Cd5Hg5
Simulated powder X-ray diffraction pattern, a wavelength of 1.5418 Å. Input: the GGA-PBE geometry in Alexandria.
Intensities are scaled so that the largest is 100.

The 10 most intense peaks (5 to 70 degrees two-theta), sorted by position:
2θ/deg, I_rel
23.1, 21
27.1, 22
30.6, 57
31.4, 23
35.1, 66
36.9, 100
37.0, 76
40.3, 26
47.2, 44
64.1, 36

Cell: 7.383 7.383 8.562 Å, 110.47 110.47 40.57°
Element x y z (fractional)
Mg 0.144 0.144 0.303
Mg 0.856 0.856 0.697
Cd 0.308 0.308 0.118
Cd 0.388 0.388 0.499
Cd 0.500 0.500 0.000
Cd 0.612 0.612 0.501
Cd 0.692 0.692 0.882
Hg 0.000 0.000 0.500
Hg 0.078 0.078 0.895
Hg 0.257 0.257 0.715
Hg 0.743 0.743 0.285
Hg 0.922 0.922 0.105